(1)
Diffraction record for ZnSnSb2. The powder XRD pattern is computed, not measured: it uses the PBE geometry in Alexandria and λ = 1.5418 Å (Cu Kα).

Top 6 peaks for 2θ = 10–90°, low angle first:
hkl  2θ (°)  intensity
1 0 1  24.12  100
2 0 0  39.72  27
1 1 2  39.98  50
2 1 1  47.01  33
1 0 3  47.46  14
3 1 2  72.27  17

Structure:
a = 4.5380 Å, b = 4.5380 Å, c = 6.3397 Å
α = 90.00°, β = 90.00°, γ = 90.00°
Space group P-4m2 (No. 115)
One atom of each set of equivalent atoms:
Zn1 0.0000 0.0000 0.0000 [1 per cell]
Sn1 0.5000 0.5000 0.5000 [1 per cell]
Sb1 0.0000 0.5000 0.2222 [2 per cell]

(2)
Diffraction record for Zr6Sn3Sb. The powder XRD pattern is computed, not measured: it uses the PBE geometry in Alexandria and λ = 1.5418 Å (Cu Kα).

Top 6 peaks for 2θ = 10–90°, low angle first:
hkl  2θ (°)  intensity
1 1 -3  26.35  62
1 2 1  33.38  100
2 1 0  34.03  43
1 1 -4  34.91  43
2 2 -3  35.65  40
1 3 -1  37.44  76

Structure:
a = 7.2423 Å, b = 7.6384 Å, c = 11.4025 Å
α = 90.00°, β = 129.18°, γ = 90.00°
Space group P2_1/c (No. 14)
One atom of each set of equivalent atoms:
Zr1 0.0148 0.0906 0.2490 [4 per cell]
Zr2 0.1935 0.1583 0.0529 [4 per cell]
Zr3 0.4049 0.6577 0.0529 [4 per cell]
Sn1 0.3258 0.6572 0.7535 [4 per cell]
Sn2 0.5000 0.0000 0.0000 [2 per cell]
Sb1 0.0000 0.0000 0.5000 [2 per cell]

(3)
Diffraction record for Zr6SnSb. The powder XRD pattern is computed, not measured: it uses the PBE geometry in Alexandria and λ = 1.5418 Å (Cu Kα).

Top 6 peaks for 2θ = 10–90°, low angle first:
hkl  2θ (°)  intensity
2 0 0  34.65  34
0 0 4  34.87  18
1 2 2  36.39  100
1 0 4  39.10  17
2 0 4  49.98  13
3 2 2  63.24  19

Structure:
a = 5.1776 Å, b = 6.7056 Å, c = 10.2910 Å
α = 90.00°, β = 90.00°, γ = 90.00°
Space group Amm2 (No. 38)
One atom of each set of equivalent atoms:
Zr1 0.0000 0.0000 0.0000 [2 per cell]
Zr2 0.0000 0.2280 0.2703 [4 per cell]
Zr3 0.5000 0.0000 0.7384 [2 per cell]
Zr4 0.5000 0.2294 0.4675 [4 per cell]
Sn1 0.0000 0.0000 0.5370 [2 per cell]
Sb1 0.5000 0.0000 0.2013 [2 per cell]